# 1
For CsSbHIr, a crystal structure in Alexandria, relaxed with PBE gives the calculated powder diffraction line list in this record (Cu Ka).

Principal peaks in the range 2θ from 10° to 80°, low angle first:
- (0 0 1), 2θ 13.3, 6.656 Å, intensity 66
- (1 1 -1), 2θ 26.2, 3.407 Å, intensity 42
- (0 0 2), 2θ 26.8, 3.328 Å, intensity 73
- (1 1 1), 2θ 27.0, 3.300 Å, intensity 100
- (2 0 -1), 2θ 27.9, 3.195 Å, intensity 55
- (0 2 0), 2θ 38.7, 2.327 Å, intensity 33
- (3 1 0), 2θ 43.3, 2.091 Å, intensity 47
- (1 1 3), 2θ 48.0, 1.896 Å, intensity 32

Cell and atoms:
```
8
Lattice="7.0387 0.0000 0.0000 0.0000 4.6542 0.0000 -0.4432 0.0000 6.6563" Properties=species:S:1:pos:R:3 pbc="T T T"
Cs 0.0000 0.0000 0.0000
Cs 3.5194 2.3271 0.0000
Sb 1.9792 0.0000 3.5481
Sb 5.4986 2.3271 3.5481
H 1.0381 2.3271 1.4221
H 4.5574 0.0000 1.4221
Ir 0.9655 2.3271 3.0384
Ir 4.4849 0.0000 3.0384
```

---

# 2
For CaCoSi2, a crystal structure in Alexandria, relaxed with PBE gives the calculated powder diffraction line list in this record (Cu Ka).

Principal peaks in the range 2θ from 10° to 80°, low angle first:
- (1 0 1), 2θ 15.4, 5.745 Å, intensity 80
- (1 1 2), 2θ 32.0, 2.796 Å, intensity 100
- (2 1 0), 2θ 34.6, 2.592 Å, intensity 77
- (0 0 4), 2θ 35.9, 2.501 Å, intensity 53
- (1 1 3), 2θ 37.9, 2.371 Å, intensity 31
- (2 1 3), 2θ 44.3, 2.046 Å, intensity 53
- (0 2 0), 2θ 47.3, 1.923 Å, intensity 57
- (3 0 3), 2θ 47.5, 1.915 Å, intensity 29

Cell and atoms:
```
16
Lattice="7.0172 0.0000 0.0000 0.0000 3.8450 0.0000 0.0000 0.0000 10.0040" Properties=species:S:1:pos:R:3 pbc="T T T"
Ca 1.0117 0.9613 1.2160
Ca 2.4969 2.8838 6.2181
Ca 4.5202 0.9613 3.7860
Ca 6.0055 2.8838 8.7880
Co 0.0394 0.9613 6.1706
Co 3.4692 2.8838 1.1686
Co 3.5480 0.9613 8.8355
Co 6.9778 2.8838 3.8334
Si 1.1880 0.9613 4.2356
Si 1.2255 0.9613 8.1509
Si 2.2831 2.8838 3.1489
Si 2.3206 2.8838 9.2376
Si 4.6966 0.9613 0.7664
Si 4.7341 0.9613 6.8551
Si 5.7917 2.8838 1.8531
Si 5.8292 2.8838 5.7685
```

---

# 3
For GeSbAu, a crystal structure in Alexandria, relaxed with PBE gives the calculated powder diffraction line list in this record (Cu Ka).

Principal peaks in the range 2θ from 10° to 80°, low angle first:
- (1 0 0), 2θ 14.4, 6.141 Å, intensity 22
- (1 1 1), 2θ 31.2, 2.863 Å, intensity 100
- (3 0 0), 2θ 44.2, 2.047 Å, intensity 34
- (2 -1 2), 2θ 45.3, 2.003 Å, intensity 36
- (4 -2 1), 2θ 55.2, 1.665 Å, intensity 17
- (2 2 2), 2θ 65.2, 1.432 Å, intensity 11
- (4 1 1), 2θ 73.3, 1.292 Å, intensity 14
- (3 0 3), 2θ 74.8, 1.269 Å, intensity 14

Cell and atoms:
```
9
Lattice="7.0909 0.0000 0.0000 -3.5455 6.1409 0.0000 0.0000 0.0000 4.8544" Properties=species:S:1:pos:R:3 pbc="T T T"
Ge -1.5071 3.2238 0.0000
Ge 1.5071 3.2238 3.2362
Ge 0.0000 5.8342 1.6181
Sb 0.0000 1.5624 1.6181
Sb -2.1924 5.3597 3.2362
Sb 2.1924 5.3597 0.0000
Au 2.3663 1.3662 0.0000
Au 4.7246 1.3662 3.2362
Au 3.5455 3.4085 1.6181
```